No. 1
This entry pairs a crystal structure of Ce3ThSb4 with its simulated XRD peak list. Radiation: Cu Kα (λ = 1.5418 Å). Structure: a GGA-PBE-relaxed structure.

Structural model:
```
data_Ce3ThSb4
_chemical_formula_sum 'Ce3 Th1 Sb4'
_cell_length_a 6.368
_cell_length_b 6.368
_cell_length_c 6.368
_cell_angle_alpha 90.00
_cell_angle_beta 90.00
_cell_angle_gamma 90.00
_symmetry_space_group_name_H-M 'P m -3 m'
_symmetry_Int_Tables_number 221
_symmetry_space_group_name_Hall '-P 4 2 3'
loop_
_atom_site_label
_atom_site_type_symbol
_atom_site_fract_x
_atom_site_fract_y
_atom_site_fract_z
_atom_site_occupancy
Ce1 Ce 0.000 0.000 0.500 1
Th1 Th 0.500 0.500 0.500 1
Sb1 Sb 0.000 0.000 0.000 1
Sb2 Sb 0.000 0.500 0.500 1
```

Principal peaks in the range 2θ = 15–90°, in order of rising 2θ:
2theta	intensity
19.7	2
24.2	4
28.0	100
31.4	2
34.5	1
40.0	77
47.3	2
49.6	28
57.9	13
65.6	36
72.7	26
86.4	9



No. 2
This entry pairs a crystal structure of CeYTh2Sb5 with its simulated XRD peak list. Radiation: Cu Kα (λ = 1.5418 Å). Structure: a GGA-PBE-relaxed structure.

Structural model:
```
data_CeYTh2Sb5
_chemical_formula_sum 'Ce1 Y1 Th2 Sb5'
_cell_length_a 5.277
_cell_length_b 5.277
_cell_length_c 11.606
_cell_angle_alpha 90.00
_cell_angle_beta 90.00
_cell_angle_gamma 90.00
_symmetry_space_group_name_H-M 'P 4/m m m'
_symmetry_Int_Tables_number 123
_symmetry_space_group_name_Hall '-P 4 2'
loop_
_atom_site_label
_atom_site_type_symbol
_atom_site_fract_x
_atom_site_fract_y
_atom_site_fract_z
_atom_site_occupancy
Ce1 Ce 0.000 0.000 0.000 1
Y1 Y 0.000 0.000 0.500 1
Th1 Th 0.500 0.500 0.309 1
Sb1 Sb 0.000 0.000 0.250 1
Sb2 Sb 0.000 0.500 0.500 1
Sb3 Sb 0.500 0.500 0.000 1
```

Principal peaks in the range 2θ = 15–90°, in order of rising 2θ:
2theta	intensity
23.8	95
28.4	41
28.6	43
30.8	30
33.4	84
34.0	100
45.0	25
46.5	38
48.8	36
55.0	20
58.8	19
60.4	31



No. 3
This entry pairs a crystal structure of Ce2TiSb with its simulated XRD peak list. Radiation: Cu Kα (λ = 1.5418 Å). Structure: a GGA-PBE-relaxed structure.

Structural model:
```
data_Ce2TiSb
_chemical_formula_sum 'Ce2 Ti1 Sb1'
_cell_length_a 4.381
_cell_length_b 4.381
_cell_length_c 4.832
_cell_angle_alpha 90.00
_cell_angle_beta 90.00
_cell_angle_gamma 90.00
_symmetry_space_group_name_H-M 'P 4/m m m'
_symmetry_Int_Tables_number 123
_symmetry_space_group_name_Hall '-P 4 2'
loop_
_atom_site_label
_atom_site_type_symbol
_atom_site_fract_x
_atom_site_fract_y
_atom_site_fract_z
_atom_site_occupancy
Ce1 Ce 0.000 0.500 0.000 1
Ti1 Ti 0.000 0.000 0.500 1
Sb1 Sb 0.500 0.500 0.500 1
```

Principal peaks in the range 2θ = 15–90°, in order of rising 2θ:
2theta	intensity
18.4	7
20.3	5
27.5	5
28.8	5
34.4	100
37.2	20
41.2	30
56.7	23
59.7	10
65.3	15
70.7	24
72.5	11



No. 4
This entry pairs a crystal structure of Ce7TlSb3 with its simulated XRD peak list. Radiation: Cu Kα (λ = 1.5418 Å). Structure: a GGA-PBE-relaxed structure.

Structural model:
```
data_Ce7TlSb3
_chemical_formula_sum 'Ce14 Tl2 Sb6'
_cell_length_a 6.054
_cell_length_b 9.156
_cell_length_c 12.148
_cell_angle_alpha 90.00
_cell_angle_beta 90.00
_cell_angle_gamma 90.00
_symmetry_space_group_name_H-M 'I m m m'
_symmetry_Int_Tables_number 71
_symmetry_space_group_name_Hall '-I 2 2'
loop_
_atom_site_label
_atom_site_type_symbol
_atom_site_fract_x
_atom_site_fract_y
_atom_site_fract_z
_atom_site_occupancy
Ce1 Ce 0.000 0.000 0.000 1
Ce2 Ce 0.000 0.147 0.500 1
Ce3 Ce 0.000 0.356 0.242 1
Tl1 Tl 0.000 0.500 0.500 1
Sb1 Sb 0.000 0.000 0.260 1
Sb2 Sb 0.000 0.500 0.000 1
```

Principal peaks in the range 2θ = 15–90°, in order of rising 2θ:
2theta	intensity
19.4	15
29.5	100
30.2	10
35.5	13
36.1	70
42.2	41
56.6	18
56.7	19
68.9	12
69.2	10
69.4	8
76.6	9



No. 5
This entry pairs a crystal structure of Ce2TlSb4 with its simulated XRD peak list. Radiation: Cu Kα (λ = 1.5418 Å). Structure: a GGA-PBE-relaxed structure.

Structural model:
```
data_Ce2TlSb4
_chemical_formula_sum 'Ce2 Tl1 Sb4'
_cell_length_a 4.358
_cell_length_b 4.358
_cell_length_c 11.445
_cell_angle_alpha 90.00
_cell_angle_beta 90.00
_cell_angle_gamma 90.00
_symmetry_space_group_name_H-M 'P -4 m 2'
_symmetry_Int_Tables_number 115
_symmetry_space_group_name_Hall 'P -4 -2'
loop_
_atom_site_label
_atom_site_type_symbol
_atom_site_fract_x
_atom_site_fract_y
_atom_site_fract_z
_atom_site_occupancy
Ce1 Ce 0.000 0.500 0.217 1
Tl1 Tl 0.000 0.000 0.500 1
Sb1 Sb 0.000 0.000 0.000 1
Sb2 Sb 0.000 0.500 0.709 1
Sb3 Sb 0.500 0.500 0.000 1
```

Principal peaks in the range 2θ = 15–90°, in order of rising 2θ:
2theta	intensity
21.8	14
25.7	22
31.3	20
33.0	100
37.6	18
41.4	30
52.4	10
52.8	21
57.2	11
60.0	10
68.9	8
70.3	22



No. 6
This entry pairs a crystal structure of Ce7TlSb2 with its simulated XRD peak list. Radiation: Cu Kα (λ = 1.5418 Å). Structure: a GGA-PBE-relaxed structure.

Structural model:
```
data_Ce7TlSb2
_chemical_formula_sum 'Ce14 Tl2 Sb4'
_cell_length_a 8.434
_cell_length_b 15.325
_cell_length_c 5.570
_cell_angle_alpha 90.00
_cell_angle_beta 90.00
_cell_angle_gamma 90.00
_symmetry_space_group_name_H-M 'C m m m'
_symmetry_Int_Tables_number 65
_symmetry_space_group_name_Hall '-C 2 2'
loop_
_atom_site_label
_atom_site_type_symbol
_atom_site_fract_x
_atom_site_fract_y
_atom_site_fract_z
_atom_site_occupancy
Ce1 Ce 0.000 0.000 0.000 1
Ce2 Ce 0.000 0.280 0.500 1
Ce3 Ce 0.163 0.389 0.000 1
Tl1 Tl 0.000 0.500 0.500 1
Sb1 Sb 0.000 0.199 0.000 1
```

Principal peaks in the range 2θ = 15–90°, in order of rising 2θ:
2theta	intensity
15.9	33
20.0	21
21.1	29
28.3	39
31.5	42
32.1	55
35.1	100
36.3	62
45.7	30
59.2	24
60.1	30
66.3	21